(1)
Tb4Dy11Y9: theoretical X-ray diffraction stick pattern (Cu Kα X-rays), based on a structure optimized by DFT (GGA-PBE).
Neutral-atom scattering factors, no anomalous dispersion.

Structural model:
```
data_Tb4Dy11Y9
_symmetry_space_group_name_H-M 'C m m m'
_symmetry_Int_Tables_number 65
_symmetry_space_group_name_Hall '-C 2 2'
_cell_length_a 16.704
_cell_length_b 25.164
_cell_length_c 3.669
_cell_angle_alpha 90.00
_cell_angle_beta 90.00
_cell_angle_gamma 90.00
loop_
_atom_site_label
_atom_site_fract_x
_atom_site_fract_y
_atom_site_fract_z
Tb1 0.155 0.101 0.000
Dy1 0.000 0.133 0.500
Dy2 0.000 0.341 0.500
Dy3 0.000 0.500 0.500
Dy4 0.208 0.000 0.500
Dy5 0.227 0.319 0.500
Y1 0.000 0.000 0.000
Y2 0.102 0.235 0.000
Y3 0.141 0.427 0.000
```

The 12 most intense peaks (2θ = 10–90°), low angle first:
- 2θ 28.8, intensity 7, hkl 5 3 0
- 2θ 30.2, intensity 58, hkl 4 6 0
- 2θ 30.4, intensity 6, hkl 2 8 0
- 2θ 31.1, intensity 16, hkl 3 3 1
- 2θ 32.2, intensity 7, hkl 6 0 0
- 2θ 32.5, intensity 100, hkl 4 0 1
- 2θ 34.2, intensity 12, hkl 3 5 1
- 2θ 39.2, intensity 8, hkl 7 3 0
- 2θ 49.7, intensity 12, hkl 0 0 2
- 2θ 55.2, intensity 7, hkl 6 10 1
- 2θ 59.3, intensity 14, hkl 4 6 2
- 2θ 61.0, intensity 8, hkl 10 0 1

---

(2)
AcMgNi4H6: theoretical X-ray diffraction stick pattern (Cu Kα X-rays), based on a structure optimized by DFT (GGA-PBE).
Neutral-atom scattering factors, no anomalous dispersion.

Structural model:
```
data_AcMgNi4H6
_symmetry_space_group_name_H-M 'P 6/m m m'
_symmetry_Int_Tables_number 191
_symmetry_space_group_name_Hall '-P 6 2'
_cell_length_a 4.4857
_cell_length_b 4.4857
_cell_length_c 6.9487
_cell_angle_alpha 90.00
_cell_angle_beta 90.00
_cell_angle_gamma 120.00
loop_
_atom_site_label
_atom_site_fract_x
_atom_site_fract_y
_atom_site_fract_z
Ac1 0.0000 0.0000 0.0000
Mg1 0.0000 0.0000 0.5000
Ni1 0.3333 0.6667 0.3281
H1 0.0000 0.5000 0.1890
```

The 12 most intense peaks (2θ = 10–90°), low angle first:
- 2θ 26.3, intensity 100, hkl 1 0 1
- 2θ 34.6, intensity 78, hkl 1 0 2
- 2θ 38.9, intensity 18, hkl 0 0 3
- 2θ 40.2, intensity 64, hkl 1 1 0
- 2θ 48.7, intensity 20, hkl 2 0 1
- 2θ 54.1, intensity 21, hkl 2 0 2
- 2θ 57.2, intensity 37, hkl 1 1 3
- 2θ 64.9, intensity 16, hkl 2 1 1
- 2θ 69.5, intensity 20, hkl 2 1 2
- 2θ 73.1, intensity 18, hkl 3 0 0
- 2θ 86.0, intensity 16, hkl 3 0 3
- 2θ 86.9, intensity 17, hkl 2 2 0

---

(3)
Ag2AsWBr: theoretical X-ray diffraction stick pattern (Cu Kα X-rays), based on a structure optimized by DFT (GGA-PBE).
Neutral-atom scattering factors, no anomalous dispersion.

Structural model:
```
data_Ag2AsWBr
_symmetry_space_group_name_H-M 'P 4/m m m'
_symmetry_Int_Tables_number 123
_symmetry_space_group_name_Hall '-P 4 2'
_cell_length_a 5.030
_cell_length_b 5.030
_cell_length_c 4.766
_cell_angle_alpha 90.00
_cell_angle_beta 90.00
_cell_angle_gamma 90.00
loop_
_atom_site_label
_atom_site_fract_x
_atom_site_fract_y
_atom_site_fract_z
Ag1 0.000 0.500 0.000
As1 0.000 0.000 0.500
W1 0.500 0.500 0.500
Br1 0.500 0.500 0.000
```

The 12 most intense peaks (2θ = 10–90°), low angle first:
- 2θ 17.6, intensity 43, hkl 1 0 0
- 2θ 31.4, intensity 100, hkl 1 1 1
- 2θ 35.7, intensity 70, hkl 2 0 0
- 2θ 37.7, intensity 30, hkl 0 0 2
- 2θ 40.1, intensity 11, hkl 2 1 0
- 2θ 51.4, intensity 24, hkl 2 2 0
- 2θ 52.9, intensity 44, hkl 2 0 2
- 2θ 61.4, intensity 28, hkl 3 1 1
- 2θ 64.2, intensity 12, hkl 1 1 3
- 2θ 65.5, intensity 23, hkl 2 2 2
- 2θ 86.6, intensity 22, hkl 4 2 0
- 2θ 87.8, intensity 11, hkl 4 0 2

---

(4)
La2Nd8Sc: theoretical X-ray diffraction stick pattern (Cu Kα X-rays), based on a structure optimized by DFT (GGA-PBE).
Neutral-atom scattering factors, no anomalous dispersion.

Structural model:
```
data_La2Nd8Sc
_symmetry_space_group_name_H-M 'I m m m'
_symmetry_Int_Tables_number 71
_symmetry_space_group_name_Hall '-I 2 2'
_cell_length_a 5.781
_cell_length_b 8.149
_cell_length_c 16.347
_cell_angle_alpha 90.00
_cell_angle_beta 90.00
_cell_angle_gamma 90.00
loop_
_atom_site_label
_atom_site_fract_x
_atom_site_fract_y
_atom_site_fract_z
La1 0.000 0.000 0.202
Nd1 0.000 0.218 0.000
Nd2 0.000 0.290 0.371
Nd3 0.000 0.500 0.162
Sc1 0.000 0.000 0.500
```

The 12 most intense peaks (2θ = 10–90°), low angle first:
- 2θ 24.4, intensity 15, hkl 0 2 2
- 2θ 28.9, intensity 17, hkl 1 1 4
- 2θ 30.9, intensity 31, hkl 2 0 0
- 2θ 31.5, intensity 100, hkl 1 2 3
- 2θ 39.8, intensity 8, hkl 2 2 2
- 2θ 49.9, intensity 8, hkl 0 2 8
- 2θ 51.6, intensity 9, hkl 0 3 7
- 2θ 55.4, intensity 20, hkl 3 2 3
- 2θ 59.9, intensity 12, hkl 2 2 8
- 2θ 61.4, intensity 9, hkl 2 3 7
- 2θ 63.5, intensity 8, hkl 1 5 4
- 2θ 80.7, intensity 8, hkl 3 5 4

---

(5)
DyHf2UN4: theoretical X-ray diffraction stick pattern (Cu Kα X-rays), based on a structure optimized by DFT (GGA-PBE).
Neutral-atom scattering factors, no anomalous dispersion.

Structural model:
```
data_DyHf2UN4
_symmetry_space_group_name_H-M 'I -4 m 2'
_symmetry_Int_Tables_number 119
_symmetry_space_group_name_Hall 'I -4 -2'
_cell_length_a 4.717
_cell_length_b 4.717
_cell_length_c 9.338
_cell_angle_alpha 90.00
_cell_angle_beta 90.00
_cell_angle_gamma 90.00
loop_
_atom_site_label
_atom_site_fract_x
_atom_site_fract_y
_atom_site_fract_z
Dy1 0.000 0.000 0.000
Hf1 0.000 0.000 0.500
Hf2 0.000 0.500 0.250
U1 0.000 0.500 0.750
N1 0.000 0.000 0.258
N2 0.000 0.500 0.502
```

The 12 most intense peaks (2θ = 10–90°), low angle first:
- 2θ 19.0, intensity 1, hkl 0 0 2
- 2θ 21.1, intensity 2, hkl 1 0 1
- 2θ 33.0, intensity 100, hkl 1 1 2
- 2θ 38.2, intensity 45, hkl 2 0 0
- 2θ 38.6, intensity 22, hkl 0 0 4
- 2θ 55.1, intensity 16, hkl 2 2 0
- 2θ 55.4, intensity 31, hkl 2 0 4
- 2θ 65.7, intensity 30, hkl 3 1 2
- 2θ 66.3, intensity 15, hkl 1 1 6
- 2θ 69.2, intensity 16, hkl 2 2 4
- 2θ 81.7, intensity 5, hkl 4 0 0
- 2θ 82.7, intensity 2, hkl 0 0 8

---

(6)
ZnCdAu4: theoretical X-ray diffraction stick pattern (Cu Kα X-rays), based on a structure optimized by DFT (GGA-PBE).
Neutral-atom scattering factors, no anomalous dispersion.

Structural model:
```
data_ZnCdAu4
_symmetry_space_group_name_H-M 'P 1 21/m 1'
_symmetry_Int_Tables_number 11
_cell_length_a 5.246
_cell_length_b 5.770
_cell_length_c 7.548
_cell_angle_alpha 90.00
_cell_angle_beta 105.98
_cell_angle_gamma 90.00
loop_
_symmetry_equiv_pos_as_xyz
'x,y,z'
'-x,-y,-z'
'-x,y+1/2,-z'
'x,-y+1/2,z'
loop_
_atom_site_label
_atom_site_fract_x
_atom_site_fract_y
_atom_site_fract_z
Zn1 0.212 0.250 0.487
Cd1 0.348 0.750 0.133
Au1 0.128 0.004 0.790
Au2 0.294 0.750 0.498
Au3 0.331 0.250 0.144
```

The 12 most intense peaks (2θ = 10–90°), low angle first:
- 2θ 24.1, intensity 36, hkl 1 1 -1
- 2θ 34.2, intensity 64, hkl 2 0 -1
- 2θ 35.9, intensity 76, hkl 1 2 0
- 2θ 36.3, intensity 41, hkl 1 2 -1
- 2θ 37.2, intensity 100, hkl 0 0 3
- 2θ 37.4, intensity 64, hkl 2 0 -2
- 2θ 39.6, intensity 100, hkl 1 2 1
- 2θ 39.9, intensity 78, hkl 0 2 2
- 2θ 40.9, intensity 89, hkl 1 2 -2
- 2θ 41.0, intensity 63, hkl 2 0 1
- 2θ 64.6, intensity 34, hkl 0 4 0
- 2θ 66.8, intensity 33, hkl 3 2 -3

---

(7)
Tb8Y4Ho: theoretical X-ray diffraction stick pattern (Cu Kα X-rays), based on a structure optimized by DFT (GGA-PBE).
Neutral-atom scattering factors, no anomalous dispersion.

Structural model:
```
data_Tb8Y4Ho
_symmetry_space_group_name_H-M 'R -3 m'
_symmetry_Int_Tables_number 166
_symmetry_space_group_name_Hall '-R 3 2"'
_cell_length_a 11.0128
_cell_length_b 11.0128
_cell_length_c 13.4218
_cell_angle_alpha 90.00
_cell_angle_beta 90.00
_cell_angle_gamma 120.00
loop_
_atom_site_label
_atom_site_fract_x
_atom_site_fract_y
_atom_site_fract_z
Tb1 0.0000 0.0000 0.2411
Tb2 0.0109 0.5054 0.7464
Y1 0.0000 0.0000 0.0000
Y2 0.0000 0.5000 0.0000
Ho1 0.0000 0.0000 0.5000
```

The 12 most intense peaks (2θ = 10–90°), low angle first:
- 2θ 16.1, intensity 10, hkl 0 1 2
- 2θ 22.9, intensity 40, hkl 2 0 2
- 2θ 25.6, intensity 12, hkl 1 1 3
- 2θ 32.5, intensity 100, hkl 2 2 0
- 2θ 32.6, intensity 99, hkl 0 2 4
- 2θ 46.7, intensity 36, hkl 4 0 4
- 2θ 58.1, intensity 55, hkl 6 0 0
- 2θ 58.3, intensity 18, hkl 2 0 8
- 2θ 68.1, intensity 11, hkl 4 4 0
- 2θ 68.4, intensity 11, hkl 0 4 8
- 2θ 77.6, intensity 15, hkl 6 2 4
- 2θ 77.8, intensity 15, hkl 4 2 8

---

(8)
Nd3Te2O: theoretical X-ray diffraction stick pattern (Cu Kα X-rays), based on a structure optimized by DFT (GGA-PBE).
Neutral-atom scattering factors, no anomalous dispersion.

Structural model:
```
data_Nd3Te2O
_symmetry_space_group_name_H-M 'C m c 21'
_symmetry_Int_Tables_number 36
_cell_length_a 14.422
_cell_length_b 8.621
_cell_length_c 6.257
_cell_angle_alpha 90.00
_cell_angle_beta 90.00
_cell_angle_gamma 90.00
loop_
_symmetry_equiv_pos_as_xyz
'x,y,z'
'-x,-y,z+1/2'
'-x,y,z'
'x,-y,z+1/2'
'x+1/2,y+1/2,z'
'-x+1/2,-y+1/2,z+1/2'
'-x+1/2,y+1/2,z'
'x+1/2,-y+1/2,z+1/2'
loop_
_atom_site_label
_atom_site_fract_x
_atom_site_fract_y
_atom_site_fract_z
Nd1 0.000 0.096 0.000
Nd2 0.144 0.271 0.467
Te1 0.152 0.359 0.971
O1 0.000 0.160 0.402
```

The 12 most intense peaks (2θ = 10–90°), low angle first:
- 2θ 20.6, intensity 39, hkl 0 2 0
- 2θ 21.2, intensity 89, hkl 3 1 0
- 2θ 28.0, intensity 31, hkl 2 2 1
- 2θ 28.5, intensity 100, hkl 0 0 2
- 2θ 32.4, intensity 34, hkl 4 2 0
- 2θ 34.9, intensity 68, hkl 1 3 1
- 2θ 35.5, intensity 48, hkl 0 2 2
- 2θ 35.8, intensity 52, hkl 3 1 2
- 2θ 36.4, intensity 29, hkl 3 3 0
- 2θ 37.4, intensity 33, hkl 6 0 0
- 2θ 47.7, intensity 31, hkl 6 0 2
- 2θ 56.9, intensity 32, hkl 7 3 1